1.
Calculated XRD peak list of Mg2AsO5 for Cu Kα, from DFT lattice parameters and positions (PBE).

Structural model:
Unit cell a=8.362 b=8.483 c=6.183 alpha=90.00 beta=90.00 gamma=90.00
Element x y z (fractional)
Mg 0.000 0.000 0.247
Mg 0.000 0.000 0.753
Mg 0.127 0.355 0.500
Mg 0.373 0.855 0.000
Mg 0.500 0.500 0.253
Mg 0.500 0.500 0.747
Mg 0.627 0.145 0.000
Mg 0.873 0.645 0.500
As 0.245 0.245 0.000
As 0.255 0.745 0.500
As 0.745 0.255 0.500
As 0.755 0.755 0.000
O 0.115 0.597 0.500
O 0.125 0.224 0.225
O 0.125 0.224 0.775
O 0.144 0.916 0.500
O 0.144 0.919 0.000
O 0.356 0.416 0.000
O 0.356 0.419 0.500
O 0.375 0.724 0.275
O 0.375 0.724 0.725
O 0.385 0.097 0.000
O 0.615 0.903 0.000
O 0.625 0.276 0.275
O 0.625 0.276 0.725
O 0.644 0.581 0.500
O 0.644 0.584 0.000
O 0.856 0.081 0.000
O 0.856 0.084 0.500
O 0.875 0.776 0.225
O 0.875 0.776 0.775
O 0.885 0.403 0.500

The 8 most intense peaks (2θ = 10–80°), most intense first:
2theta, I_rel, index
20.71, 100, 1 1 1
30.01, 36, 2 2 0
57.45, 32, 4 2 2
36.14, 26, 2 0 2
36.93, 26, 3 1 1
17.78, 25, 0 1 1
36.56, 25, 1 3 1
20.94, 20, 0 2 0


2.
Calculated XRD peak list of Mg17As6O32 for Cu Kα, from DFT lattice parameters and positions (PBE).

Structural model:
Unit cell a=9.962 b=6.130 c=10.540 alpha=90.00 beta=110.83 gamma=90.00
Element x y z (fractional)
Mg 0.000 0.000 0.000
Mg 0.001 0.260 0.739
Mg 0.001 0.740 0.739
Mg 0.255 0.259 0.504
Mg 0.255 0.741 0.504
Mg 0.264 0.000 0.753
Mg 0.265 0.247 0.005
Mg 0.265 0.753 0.005
Mg 0.270 0.500 0.258
Mg 0.730 0.500 0.742
Mg 0.735 0.247 0.995
Mg 0.735 0.753 0.995
Mg 0.736 0.000 0.247
Mg 0.745 0.259 0.496
Mg 0.745 0.741 0.496
Mg 0.999 0.260 0.261
Mg 0.999 0.740 0.261
As 0.000 0.000 0.500
As 0.000 0.500 0.000
As 0.421 0.500 0.808
As 0.424 0.000 0.311
As 0.576 0.000 0.689
As 0.579 0.500 0.192
O 0.115 0.000 0.391
O 0.115 0.500 0.891
O 0.116 0.283 0.109
O 0.116 0.717 0.109
O 0.120 0.208 0.614
O 0.120 0.792 0.614
O 0.133 0.000 0.880
O 0.143 0.500 0.368
O 0.367 0.000 0.136
O 0.367 0.269 0.867
O 0.367 0.731 0.867
O 0.368 0.230 0.368
O 0.368 0.770 0.368
O 0.369 0.500 0.635
O 0.388 0.000 0.628
O 0.389 0.500 0.128
O 0.611 0.500 0.872
O 0.612 0.000 0.372
O 0.631 0.500 0.365
O 0.632 0.230 0.632
O 0.632 0.770 0.632
O 0.633 0.000 0.864
O 0.633 0.269 0.133
O 0.633 0.731 0.133
O 0.857 0.500 0.632
O 0.867 0.000 0.120
O 0.880 0.208 0.386
O 0.880 0.792 0.386
O 0.884 0.283 0.891
O 0.884 0.717 0.891
O 0.885 0.000 0.609
O 0.885 0.500 0.109

The 8 most intense peaks (2θ = 10–80°), most intense first:
2theta, I_rel, index
23.12, 100, 2 1 -1
17.05, 85, 0 1 1
42.90, 67, 2 2 2
60.77, 44, 2 2 -6
37.60, 42, 1 2 2
36.37, 42, 3 1 1
35.11, 40, 3 1 -3
23.24, 38, 1 0 2


Question: Number 2 is which compound?
Answer: Mg17As6O32